For Li2Ti3CrO8, a DFT-relaxed cell (PBE+U, the Materials Project) gives the simulated powder XRD pattern in this record (λ = 1.5418 Å (Cu Kα)).

Main lines, by angle (10° ≤ 2θ ≤ 90°):
2θ = 18.39°, intensity 52, hkl 0 0 2
2θ = 19.67°, intensity 100, hkl 1 0 1
2θ = 25.40°, intensity 33, hkl 1 0 2
2θ = 32.92°, intensity 31, hkl 1 0 3
2θ = 35.70°, intensity 54, hkl 1 1 2
2θ = 36.41°, intensity 36, hkl 2 0 1
2θ = 39.96°, intensity 42, hkl 2 0 2
2θ = 45.36°, intensity 59, hkl 2 0 3
2θ = 52.18°, intensity 21, hkl 2 0 4
2θ = 55.54°, intensity 19, hkl 2 1 3
2θ = 60.11°, intensity 42, hkl 2 0 5
2θ = 63.07°, intensity 40, hkl 2 2 0

Unit cell a=5.8955 b=5.8955 c=9.6469 alpha=90.00 beta=90.00 gamma=120.00
Space group P6_3mc (No. 186)
Symmetry-distinct sites (fractional):
1 Li 0.0000 0.0000 0.0000
2 Li 0.3333 0.6667 0.3956
3 Ti 0.1691 0.3381 0.7169
4 Cr 0.3333 0.6667 0.9874
5 O 0.0000 0.0000 0.3156
6 O 0.0399 0.5200 0.8418
7 O 0.1635 0.3271 0.1069
8 O 0.3333 0.6667 0.6063